Record 1
This entry pairs a crystal structure of La3Pr4Dy4 with its theoretical XRD peak list. Radiation: λ = 1.5418 Å (Cu Kα). Structure: a structure optimized by DFT (GGA-PBE).
Kinematic intensities with the Lorentz-polarization factor, no thermal factor.

Structure:
Unit cell a=10.971 b=6.773 c=6.773 alpha=50.97 beta=90.00 gamma=90.00
Sites, in units of the cell vectors:
La1 0.000 0.000 0.000
La2 0.287 0.162 0.162
La3 0.713 0.162 0.162
Pr1 0.000 0.705 0.705
Pr2 0.216 0.496 0.496
Pr3 0.500 0.631 0.631
Pr4 0.784 0.496 0.496
Dy1 0.000 0.305 0.305
Dy2 0.308 0.856 0.856
Dy3 0.500 0.358 0.358
Dy4 0.692 0.856 0.856

Top 12 peaks for 2θ from 10° to 80°, by angle:
2theta	I/Imax
29.8	29
30.4	15
30.7	38
31.4	100
32.7	16
43.7	11
44.5	7
45.4	12
51.3	11
55.0	28
60.9	24
78.1	6

=====

Record 2
This entry pairs a crystal structure of VGe2Rh3 with its theoretical XRD peak list. Radiation: λ = 1.5418 Å (Cu Kα). Structure: a structure optimized by DFT (GGA-PBE).
Kinematic intensities with the Lorentz-polarization factor, no thermal factor.

Structure:
Unit cell a=7.381 b=7.381 c=7.381 alpha=148.77 beta=124.16 gamma=65.38
Sites, in units of the cell vectors:
V1 0.438 0.188 0.250
V2 0.562 0.812 0.750
Ge1 0.097 0.847 0.250
Ge2 0.292 0.542 0.750
Ge3 0.708 0.458 0.250
Ge4 0.903 0.153 0.750
Rh1 0.000 0.000 0.000
Rh2 0.141 0.671 0.470
Rh3 0.300 0.329 0.970
Rh4 0.500 0.000 0.500
Rh5 0.700 0.671 0.030
Rh6 0.859 0.329 0.530

Top 12 peaks for 2θ from 10° to 80°, by angle:
2theta	I/Imax
31.2	10
38.5	7
39.0	6
40.9	100
43.7	16
45.7	22
47.9	8
53.0	11
65.1	9
71.0	5
72.5	12
78.4	6